[1]
# Ce2ZnNi9
Simulated powder XRD pattern, Cu Kα (λ = 1.5418 Å). Input: a DFT-relaxed cell (PBE, Alexandria).
No peak broadening, texture or thermal motion is included.

Crystal structure
abc: 8.6489 8.6489 8.6489
angles: 32.63 32.63 32.63
Atoms (fractional coordinates):
Ce1 0.1334 0.1334 0.1334
Ce2 0.8666 0.8666 0.8666
Zn1 0.0000 0.0000 0.0000
Ni1 0.0808 0.5819 0.5819
Ni2 0.3328 0.3328 0.3328
Ni3 0.4181 0.4181 0.9192
Ni4 0.4181 0.9192 0.4181
Ni5 0.5000 0.5000 0.5000
Ni6 0.5819 0.0808 0.5819
Ni7 0.5819 0.5819 0.0808
Ni8 0.6672 0.6672 0.6672
Ni9 0.9192 0.4181 0.4181

Most intense lines, 2θ from 15° to 90°, sorted by position:
2theta	I_rel
33.26	45
36.23	56
37.00	58
43.15	47
43.31	100
45.57	27
46.04	34
46.98	46
71.04	21
78.77	29

[2]
# Ce2Zn2Ni5
Simulated powder XRD pattern, Cu Kα (λ = 1.5418 Å). Input: a DFT-relaxed cell (PBE, Alexandria).
No peak broadening, texture or thermal motion is included.

Crystal structure
abc: 12.7824 12.7824 12.7824
angles: 22.77 22.77 22.77
Atoms (fractional coordinates):
Ce1 0.0570 0.0570 0.0570
Ce2 0.1457 0.1457 0.1457
Ce3 0.8543 0.8543 0.8543
Ce4 0.9430 0.9430 0.9430
Zn1 0.0000 0.5000 0.5000
Zn2 0.5000 0.0000 0.5000
Zn3 0.5000 0.5000 0.0000
Zn4 0.5000 0.5000 0.5000
Ni1 0.1090 0.6110 0.6110
Ni2 0.2769 0.2769 0.2769
Ni3 0.3895 0.3895 0.3895
Ni4 0.3890 0.3890 0.8910
Ni5 0.3890 0.8910 0.3890
Ni6 0.6110 0.1090 0.6110
Ni7 0.6110 0.6110 0.1090
Ni8 0.6105 0.6105 0.6105
Ni9 0.7231 0.7231 0.7231
Ni10 0.8910 0.3890 0.3890

Most intense lines, 2θ from 15° to 90°, sorted by position:
2theta	I_rel
31.52	33
33.43	27
35.58	45
39.59	14
41.40	35
41.91	100
43.63	18
45.86	15
68.24	22
75.34	22